[1]
Starting from a DFT-relaxed cell (GGA-PBE, the Materials Project), the powder XRD pattern of CsLiSO4 was computed for Cu Kα, 1.54184 Å.
Peak positions follow from Bragg's law for the DFT cell and can differ from measured ones.

Peak list (6 most intense, 15° ≤ 2θ ≤ 90°, in order of rising 2θ)
two_theta, intensity
17.75, 100
23.57, 21
24.29, 48
25.84, 30
31.87, 31
34.90, 22

Structure:
a = 10.2061 Å, b = 5.6108 Å, c = 10.9901 Å
α = 90.00°, β = 90.00°, γ = 90.00°
Fractional positions:
Cs (0.0385, 0.2500, 0.1371)
Cs (0.4615, 0.7500, 0.6371)
Cs (0.5385, 0.2500, 0.3629)
Cs (0.9615, 0.7500, 0.8629)
Li (0.1319, 0.7500, 0.5389)
Li (0.3681, 0.2500, 0.0389)
Li (0.6319, 0.7500, 0.9611)
Li (0.8681, 0.2500, 0.4611)
S (0.1900, 0.2500, 0.4357)
S (0.3100, 0.7500, 0.9357)
S (0.6900, 0.2500, 0.0643)
S (0.8100, 0.7500, 0.5643)
O (0.0450, 0.2500, 0.4199)
O (0.2323, 0.0334, 0.5054)
O (0.2323, 0.4666, 0.5054)
O (0.2475, 0.7500, 0.8137)
O (0.2525, 0.2500, 0.3137)
O (0.2677, 0.5334, 0.0054)
O (0.2677, 0.9666, 0.0054)
O (0.4550, 0.7500, 0.9199)
O (0.5450, 0.2500, 0.0801)
O (0.7323, 0.0334, 0.9946)
O (0.7323, 0.4666, 0.9946)
O (0.7475, 0.7500, 0.6863)
O (0.7525, 0.2500, 0.1863)
O (0.7677, 0.5334, 0.4946)
O (0.7677, 0.9666, 0.4946)
O (0.9550, 0.7500, 0.5801)

---

[2]
Starting from a DFT-relaxed cell (GGA-PBE, the Materials Project), the powder XRD pattern of Cs2Li14Tb3O14 was computed for Cu Kα, 1.54184 Å.
Peak positions follow from Bragg's law for the DFT cell and can differ from measured ones.

Peak list (6 most intense, 15° ≤ 2θ ≤ 90°, in order of rising 2θ)
two_theta, intensity
16.00, 100
21.60, 66
26.81, 34
26.99, 37
33.14, 47
34.68, 67

Structure:
a = 8.6719 Å, b = 8.6719 Å, c = 8.6719 Å
α = 128.80°, β = 123.36°, γ = 79.83°
Fractional positions:
Cs (0.0000, 0.2336, 0.2336)
Cs (0.0000, 0.7664, 0.7664)
Li (0.0842, 0.2321, 0.8521)
Li (0.2130, 0.1411, 0.6203)
Li (0.2130, 0.5926, 0.0718)
Li (0.3447, 0.5000, 0.8447)
Li (0.3800, 0.2321, 0.1479)
Li (0.4792, 0.4074, 0.6203)
Li (0.4792, 0.8589, 0.0718)
Li (0.5208, 0.1411, 0.9282)
Li (0.5208, 0.5926, 0.3797)
Li (0.6200, 0.7679, 0.8521)
Li (0.6553, 0.5000, 0.1553)
Li (0.7870, 0.4074, 0.9282)
Li (0.7870, 0.8589, 0.3797)
Li (0.9158, 0.7679, 0.1479)
Tb (0.2316, 0.7316, 0.5000)
Tb (0.5000, 0.0000, 0.5000)
Tb (0.7684, 0.2684, 0.5000)
O (0.0920, 0.3704, 0.7216)
O (0.1859, 0.8688, 0.3171)
O (0.2537, 0.0523, 0.7985)
O (0.2537, 0.4552, 0.2015)
O (0.3512, 0.6296, 0.7216)
O (0.4483, 0.1312, 0.3171)
O (0.5000, 0.2980, 0.7980)
O (0.5000, 0.7020, 0.2020)
O (0.5517, 0.8688, 0.6829)
O (0.6488, 0.3704, 0.2784)
O (0.7463, 0.5448, 0.7985)
O (0.7463, 0.9477, 0.2015)
O (0.8141, 0.1312, 0.6829)
O (0.9080, 0.6296, 0.2784)